Starting from a GGA-PBE-relaxed structure, the PXRD pattern of KNaH was computed for Cu Kα X-rays.

The 10 most intense peaks (2θ = 10–90°), by intensity:
(0 2 2), 27.05 deg, I 100
(1 3 2), 40.92 deg, I 31
(0 4 0), 26.11 deg, I 30
(0 2 0), 12.97 deg, I 22
(1 1 2), 36.23 deg, I 20
(1 5 0), 42.50 deg, I 18
(1 1 1), 29.60 deg, I 14
(1 7 2), 59.97 deg, I 12
(2 2 2), 61.44 deg, I 11
(1 5 4), 66.28 deg, I 9

Structural model:
a = 3.394 Å, b = 13.649 Å, c = 7.533 Å
α = 90.00°, β = 90.00°, γ = 90.00°
Space group Cmcm (No. 63)
Unique sites:
1 K 0.000 0.000 0.000 (multiplicity 4)
2 Na 0.000 0.216 0.250 (multiplicity 4)
3 H 0.000 0.421 0.750 (multiplicity 4)